(1)
Diffraction record for KNaLaNbO5. The X-ray diffraction stick pattern is theoretical, not measured: it uses a structure optimized by DFT (GGA-PBE) and λ = 1.5418 Å (Cu Kα).

a = 5.846 Å, b = 5.846 Å, c = 8.413 Å
α = 90.00°, β = 90.00°, γ = 90.00°
Element x y z (fractional)
1 K 0.250 0.750 0.000
2 K 0.750 0.250 0.000
3 Na 0.250 0.250 0.241
4 Na 0.750 0.750 0.759
5 La 0.250 0.750 0.500
6 La 0.750 0.250 0.500
7 Nb 0.250 0.250 0.745
8 Nb 0.750 0.750 0.255
9 O 0.021 0.021 0.673
10 O 0.021 0.479 0.673
11 O 0.250 0.250 0.967
12 O 0.479 0.021 0.673
13 O 0.479 0.479 0.673
14 O 0.521 0.521 0.327
15 O 0.521 0.979 0.327
16 O 0.750 0.750 0.033
17 O 0.979 0.521 0.327
18 O 0.979 0.979 0.327

The 10 most intense peaks (2θ = 10–90°), by angle:
d (Å)  Position (°2θ)  I_rel
8.413  10.52  45
4.801  18.48  30
3.710  23.99  27
2.948  30.31  100
2.923  30.58  38
2.067  43.80  31
1.707  53.69  25
1.692  54.20  37
1.474  63.06  12
1.110  87.95  11

(2)
Diffraction record for KLaNb2O6. The X-ray diffraction stick pattern is theoretical, not measured: it uses a structure optimized by DFT (GGA-PBE) and λ = 1.5418 Å (Cu Kα).

a = 5.767 Å, b = 5.767 Å, c = 5.767 Å
α = 60.00°, β = 60.00°, γ = 60.00°
Element x y z (fractional)
1 K 0.000 0.000 0.000
2 La 0.500 0.500 0.500
3 Nb 0.250 0.250 0.250
4 Nb 0.750 0.750 0.750
5 O 0.000 0.000 0.500
6 O 0.000 0.500 0.000
7 O 0.000 0.500 0.500
8 O 0.500 0.000 0.000
9 O 0.500 0.000 0.500
10 O 0.500 0.500 0.000

The 10 most intense peaks (2θ = 10–90°), by angle:
d (Å)  Position (°2θ)  I_rel
4.709  18.85  18
2.883  31.01  100
2.459  36.54  11
2.039  44.43  34
1.871  48.67  5
1.665  55.17  39
1.570  58.84  4
1.442  64.65  20
1.290  73.43  16
1.177  81.82  7

(3)
Diffraction record for KLa2NbO6. The X-ray diffraction stick pattern is theoretical, not measured: it uses a structure optimized by DFT (GGA-PBE) and λ = 1.5418 Å (Cu Kα).

a = 7.051 Å, b = 7.051 Å, c = 8.971 Å
α = 104.50°, β = 104.50°, γ = 48.83°
Element x y z (fractional)
1 K 0.115 0.115 0.481
2 K 0.885 0.885 0.519
3 La 0.130 0.130 0.928
4 La 0.412 0.412 0.795
5 La 0.588 0.588 0.205
6 La 0.870 0.870 0.072
7 Nb 0.341 0.341 0.297
8 Nb 0.659 0.659 0.703
9 O 0.004 0.469 0.168
10 O 0.220 0.683 0.292
11 O 0.252 0.748 0.000
12 O 0.317 0.780 0.708
13 O 0.323 0.323 0.496
14 O 0.469 0.004 0.168
15 O 0.531 0.996 0.832
16 O 0.677 0.677 0.504
17 O 0.683 0.220 0.292
18 O 0.748 0.252 0.000
19 O 0.780 0.317 0.708
20 O 0.996 0.531 0.832

The 10 most intense peaks (2θ = 10–90°), by angle:
d (Å)  Position (°2θ)  I_rel
8.626  10.26  32
3.402  26.20  55
3.161  28.23  100
3.087  28.93  21
2.998  29.80  58
2.915  30.68  32
2.119  42.67  30
2.067  43.79  17
1.973  45.99  19
1.726  53.05  17

(4)
Diffraction record for K2LaNb5O15. The X-ray diffraction stick pattern is theoretical, not measured: it uses a structure optimized by DFT (GGA-PBE) and λ = 1.5418 Å (Cu Kα).

a = 12.808 Å, b = 12.808 Å, c = 3.977 Å
α = 90.00°, β = 90.00°, γ = 90.00°
Element x y z (fractional)
1 K 0.171 0.329 0.000
2 K 0.329 0.829 0.000
3 K 0.671 0.171 0.000
4 K 0.829 0.671 0.000
5 La 0.000 0.000 0.000
6 La 0.500 0.500 0.000
7 Nb 0.000 0.500 0.500
8 Nb 0.076 0.786 0.500
9 Nb 0.214 0.076 0.500
10 Nb 0.286 0.576 0.500
11 Nb 0.424 0.286 0.500
12 Nb 0.500 0.000 0.500
13 Nb 0.576 0.714 0.500
14 Nb 0.714 0.424 0.500
15 Nb 0.786 0.924 0.500
16 Nb 0.924 0.214 0.500
17 O 0.000 0.500 0.000
18 O 0.002 0.343 0.500
19 O 0.061 0.133 0.500
20 O 0.077 0.807 0.000
21 O 0.133 0.939 0.500
22 O 0.157 0.498 0.500
23 O 0.193 0.077 0.000
24 O 0.215 0.715 0.500
25 O 0.285 0.215 0.500
26 O 0.307 0.577 0.000
27 O 0.343 0.998 0.500
28 O 0.367 0.439 0.500
29 O 0.423 0.307 0.000
30 O 0.439 0.633 0.500
31 O 0.498 0.843 0.500
32 O 0.500 0.000 0.000
33 O 0.502 0.157 0.500
34 O 0.561 0.367 0.500
35 O 0.577 0.693 0.000
36 O 0.633 0.561 0.500
37 O 0.657 0.002 0.500
38 O 0.693 0.423 0.000
39 O 0.715 0.785 0.500
40 O 0.785 0.285 0.500
41 O 0.807 0.923 0.000
42 O 0.843 0.502 0.500
43 O 0.867 0.061 0.500
44 O 0.923 0.193 0.000
45 O 0.939 0.867 0.500
46 O 0.998 0.657 0.500

The 10 most intense peaks (2θ = 10–90°), by angle:
d (Å)  Position (°2θ)  I_rel
6.404  13.83  37
3.977  22.35  35
3.552  25.07  46
3.267  27.30  39
3.106  28.74  56
2.988  29.90  36
2.864  31.23  50
2.838  31.53  100
1.989  45.62  35
1.648  55.77  48

(5)
Diffraction record for KLaNb2O7. The X-ray diffraction stick pattern is theoretical, not measured: it uses a structure optimized by DFT (GGA-PBE) and λ = 1.5418 Å (Cu Kα).

a = 3.933 Å, b = 11.356 Å, c = 11.356 Å
α = 20.01°, β = 90.00°, γ = 90.00°
Element x y z (fractional)
1 K 0.000 0.000 0.000
2 La 0.000 0.765 0.765
3 Nb 0.500 0.162 0.162
4 Nb 0.500 0.368 0.368
5 O 0.000 0.183 0.183
6 O 0.000 0.349 0.349
7 O 0.500 0.082 0.082
8 O 0.500 0.266 0.266
9 O 0.500 0.449 0.449
10 O 0.500 0.683 0.683
11 O 0.500 0.850 0.850

The 10 most intense peaks (2θ = 10–90°), by angle:
d (Å)  Position (°2θ)  I_rel
3.488  25.54  53
3.217  27.73  100
2.959  30.20  69
2.764  32.39  91
2.706  33.11  24
1.973  46.00  26
1.966  46.16  26
1.854  49.13  43
1.682  54.56  31
1.638  56.16  24

(6)
Diffraction record for KLaTiNbO6. The X-ray diffraction stick pattern is theoretical, not measured: it uses a structure optimized by DFT (GGA-PBE) and λ = 1.5418 Å (Cu Kα).

a = 5.663 Å, b = 5.663 Å, c = 5.663 Å
α = 60.00°, β = 60.00°, γ = 60.00°
Element x y z (fractional)
1 K 0.000 0.000 0.000
2 La 0.500 0.500 0.500
3 Ti 0.750 0.750 0.750
4 Nb 0.250 0.250 0.250
5 O 0.502 0.502 0.998
6 O 0.502 0.998 0.502
7 O 0.502 0.998 0.998
8 O 0.998 0.502 0.502
9 O 0.998 0.502 0.998
10 O 0.998 0.998 0.502

The 10 most intense peaks (2θ = 10–90°), by angle:
d (Å)  Position (°2θ)  I_rel
4.624  19.19  30
2.832  31.60  100
2.415  37.23  18
2.312  38.95  8
2.002  45.29  37
1.837  49.61  8
1.635  56.27  38
1.416  65.98  21
1.266  75.00  16
1.156  83.65  7

(7)
Diffraction record for K2La4O7. The X-ray diffraction stick pattern is theoretical, not measured: it uses a structure optimized by DFT (GGA-PBE) and λ = 1.5418 Å (Cu Kα).

a = 6.380 Å, b = 6.380 Å, c = 7.749 Å
α = 90.00°, β = 90.00°, γ = 120.00°
Element x y z (fractional)
1 K 0.333 0.667 0.000
2 K 0.667 0.333 0.000
3 La 0.000 0.000 0.277
4 La 0.000 0.000 0.723
5 La 0.333 0.667 0.500
6 La 0.667 0.333 0.500
7 O 0.000 0.000 0.000
8 O 0.000 0.362 0.675
9 O 0.000 0.638 0.325
10 O 0.362 0.000 0.675
11 O 0.362 0.362 0.325
12 O 0.638 0.000 0.325
13 O 0.638 0.638 0.675

The 10 most intense peaks (2θ = 10–90°), by angle:
d (Å)  Position (°2θ)  I_rel
7.749  11.42  52
3.190  27.97  100
3.172  28.13  94
2.950  30.30  20
2.340  38.47  13
2.249  40.09  40
1.840  49.55  70
1.656  55.50  29
1.425  65.50  17
1.205  79.53  21

(8)
Diffraction record for KLaPdO3. The X-ray diffraction stick pattern is theoretical, not measured: it uses a structure optimized by DFT (GGA-PBE) and λ = 1.5418 Å (Cu Kα).

a = 7.057 Å, b = 7.057 Å, c = 7.623 Å
α = 104.80°, β = 104.80°, γ = 33.01°
Element x y z (fractional)
1 K 0.143 0.143 0.066
2 K 0.857 0.857 0.934
3 La 0.150 0.150 0.583
4 La 0.850 0.850 0.417
5 Pd 0.493 0.493 0.728
6 Pd 0.507 0.507 0.272
7 O 0.007 0.007 0.311
8 O 0.332 0.332 0.636
9 O 0.349 0.349 0.216
10 O 0.651 0.651 0.784
11 O 0.668 0.668 0.364
12 O 0.993 0.993 0.689

The 10 most intense peaks (2θ = 10–90°), by angle:
d (Å)  Position (°2θ)  I_rel
7.347  12.05  68
2.948  30.32  66
2.889  30.96  41
2.844  31.46  39
2.762  32.41  100
2.174  41.54  23
2.005  45.23  24
1.718  53.33  19
1.699  53.97  16
1.474  63.05  17

(9)
Diffraction record for KLaPrSbO6. The X-ray diffraction stick pattern is theoretical, not measured: it uses a structure optimized by DFT (GGA-PBE) and λ = 1.5418 Å (Cu Kα).

a = 6.069 Å, b = 6.069 Å, c = 6.069 Å
α = 60.00°, β = 60.00°, γ = 60.00°
Element x y z (fractional)
1 K 0.000 0.000 0.000
2 La 0.500 0.500 0.500
3 Pr 0.250 0.250 0.250
4 Sb 0.750 0.750 0.750
5 O 0.518 0.518 0.982
6 O 0.518 0.982 0.518
7 O 0.518 0.982 0.982
8 O 0.982 0.518 0.518
9 O 0.982 0.518 0.982
10 O 0.982 0.982 0.518

The 10 most intense peaks (2θ = 10–90°), by angle:
d (Å)  Position (°2θ)  I_rel
4.956  17.90  12
4.292  20.70  11
3.035  29.43  100
2.588  34.66  8
2.146  42.11  32
1.752  52.21  40
1.517  61.07  19
1.357  69.23  18
1.239  76.96  6
1.147  84.46  21

(10)
Diffraction record for KLaPrSbO6. The X-ray diffraction stick pattern is theoretical, not measured: it uses a structure optimized by DFT (GGA-PBE) and λ = 1.5418 Å (Cu Kα).

a = 8.476 Å, b = 8.558 Å, c = 8.579 Å
α = 90.00°, β = 90.00°, γ = 90.00°
Element x y z (fractional)
1 K 0.250 0.250 0.250
2 K 0.250 0.750 0.750
3 K 0.750 0.250 0.250
4 K 0.750 0.750 0.750
5 La 0.250 0.250 0.750
6 La 0.250 0.750 0.250
7 La 0.750 0.250 0.750
8 La 0.750 0.750 0.250
9 Pr 0.000 0.000 0.000
10 Pr 0.000 0.500 0.500
11 Pr 0.500 0.000 0.500
12 Pr 0.500 0.500 0.000
13 Sb 0.000 0.000 0.500
14 Sb 0.000 0.500 0.000
15 Sb 0.500 0.000 0.000
16 Sb 0.500 0.500 0.500
17 O 0.033 0.054 0.731
18 O 0.033 0.446 0.769
19 O 0.038 0.731 0.987
20 O 0.038 0.769 0.513
21 O 0.230 0.025 0.462
22 O 0.230 0.475 0.038
23 O 0.270 0.025 0.038
24 O 0.270 0.475 0.462
25 O 0.462 0.731 0.513
26 O 0.462 0.769 0.987
27 O 0.467 0.054 0.769
28 O 0.467 0.446 0.731
29 O 0.533 0.554 0.269
30 O 0.533 0.946 0.231
31 O 0.538 0.231 0.013
32 O 0.538 0.269 0.487
33 O 0.730 0.525 0.538
34 O 0.730 0.975 0.962
35 O 0.770 0.525 0.962
36 O 0.770 0.975 0.538
37 O 0.962 0.231 0.487
38 O 0.962 0.269 0.013
39 O 0.967 0.554 0.231
40 O 0.967 0.946 0.269

The 10 most intense peaks (2θ = 10–90°), by angle:
d (Å)  Position (°2θ)  I_rel
6.059  14.62  17
3.029  29.49  52
3.013  29.65  100
2.145  42.13  15
2.140  42.24  14
2.119  42.67  14
1.746  52.41  44
1.736  52.71  22
1.507  61.56  17
1.144  84.72  11